Entry 1:
This entry pairs a crystal structure of Lu2Mo2C3 with its computed powder XRD pattern. Radiation: Cu Kα (weighted mean of Kα1 and Kα2). Structure: DFT lattice parameters and positions (PBE).

Cell and atoms:
Lattice parameters (Å, degrees): 11.258 3.342 5.599 90.00 109.18 90.00
Space group C2/m (No. 12)
Unique sites:
Lu 0.116 0.000 0.318 [4 per cell]
Mo 0.148 0.500 0.866 [4 per cell]
C 0.000 0.500 0.000 [2 per cell]
C 0.231 0.000 0.753 [4 per cell]

Main lines, in order of rising 2θ (2θ = 15–90°):
hkl 2 0 -2, 32.49 deg, I 43
hkl 4 0 0, 33.72 deg, I 46
hkl 1 1 1, 34.24 deg, I 100
hkl 3 1 -1, 37.05 deg, I 88
hkl 2 0 2, 42.92 deg, I 22
hkl 0 2 0, 54.94 deg, I 16
hkl 3 1 -3, 57.20 deg, I 28
hkl 5 1 1, 58.76 deg, I 17

=====

Entry 2:
This entry pairs a crystal structure of Na2LuPCO7 with its computed powder XRD pattern. Radiation: Cu Kα (weighted mean of Kα1 and Kα2). Structure: DFT lattice parameters and positions (PBE).

Cell and atoms:
Lattice parameters (Å, degrees): 5.275 6.902 9.149 90.00 90.62 90.00
Space group P2_1/m (No. 11)
Unique sites:
Na 0.234 0.001 0.217 [4 per cell]
Lu 0.221 0.250 0.639 [2 per cell]
P 0.292 0.750 0.580 [2 per cell]
C 0.268 0.250 0.930 [2 per cell]
O 0.045 0.250 0.865 [2 per cell]
O 0.190 0.750 0.418 [2 per cell]
O 0.198 0.566 0.659 [4 per cell]
O 0.296 0.250 0.068 [2 per cell]
O 0.412 0.250 0.427 [2 per cell]
O 0.463 0.250 0.840 [2 per cell]

Main lines, in order of rising 2θ (2θ = 15–90°):
hkl 0 1 1, 16.09 deg, I 100
hkl 1 0 -1, 19.34 deg, I 37
hkl 1 1 0, 21.20 deg, I 75
hkl 1 0 -2, 25.64 deg, I 36
hkl 0 2 0, 25.82 deg, I 51
hkl 1 0 2, 25.92 deg, I 55
hkl 1 2 -1, 32.46 deg, I 37
hkl 2 0 0, 33.99 deg, I 32

=====

Entry 3:
This entry pairs a crystal structure of LuNiC2 with its computed powder XRD pattern. Radiation: Cu Kα (weighted mean of Kα1 and Kα2). Structure: DFT lattice parameters and positions (PBE).

Cell and atoms:
Lattice parameters (Å, degrees): 3.468 4.497 5.959 90.00 90.00 90.00
Space group Amm2 (No. 38)
Unique sites:
Lu 0.000 0.000 0.000 [2 per cell]
Ni 0.500 0.000 0.611 [2 per cell]
C 0.500 0.153 0.300 [4 per cell]

Main lines, in order of rising 2θ (2θ = 15–90°):
hkl 0 1 1, 24.80 deg, I 37
hkl 0 0 2, 29.99 deg, I 23
hkl 1 1 1, 36.01 deg, I 100
hkl 1 0 2, 39.89 deg, I 25
hkl 0 2 0, 40.10 deg, I 19
hkl 0 1 3, 50.21 deg, I 18
hkl 0 2 2, 50.87 deg, I 14
hkl 1 2 2, 57.84 deg, I 14

=====

Entry 4:
This entry pairs a crystal structure of Lu4Ni13C4 with its computed powder XRD pattern. Radiation: Cu Kα (weighted mean of Kα1 and Kα2). Structure: DFT lattice parameters and positions (PBE).

Cell and atoms:
Lattice parameters (Å, degrees): 11.580 11.851 3.805 90.00 90.00 90.00
Space group Cmmm (No. 65)
Unique sites:
Lu 0.000 0.186 0.000 [4 per cell]
Lu 0.152 0.500 0.000 [4 per cell]
Ni 0.000 0.000 0.500 [2 per cell]
Ni 0.107 0.323 0.500 [8 per cell]
Ni 0.124 0.000 0.000 [4 per cell]
Ni 0.183 0.108 0.500 [8 per cell]
Ni 0.250 0.250 0.000 [4 per cell]
C 0.000 0.443 0.500 [4 per cell]
C 0.250 0.250 0.500 [4 per cell]

Main lines, in order of rising 2θ (2θ = 15–90°):
hkl 1 3 1, 33.60 deg, I 81
hkl 3 1 1, 33.94 deg, I 44
hkl 4 2 0, 34.48 deg, I 31
hkl 0 4 1, 38.51 deg, I 45
hkl 4 2 1, 42.08 deg, I 100
hkl 3 5 0, 44.88 deg, I 40
hkl 0 0 2, 47.80 deg, I 45
hkl 3 5 2, 67.65 deg, I 23

=====

Entry 5:
This entry pairs a crystal structure of Lu4Ni2C5 with its computed powder XRD pattern. Radiation: Cu Kα (weighted mean of Kα1 and Kα2). Structure: DFT lattice parameters and positions (PBE).

Cell and atoms:
Lattice parameters (Å, degrees): 3.518 11.385 3.647 90.00 90.00 90.00
Space group Pmm2 (No. 25)
Unique sites:
Lu 0.000 0.000 0.000 [1 per cell]
Lu 0.000 0.298 0.707 [2 per cell]
Lu 0.500 0.500 0.210 [1 per cell]
Ni 0.500 0.115 0.511 [2 per cell]
C 0.000 0.500 0.717 [1 per cell]
C 0.500 0.168 0.010 [2 per cell]
C 0.500 0.272 0.211 [2 per cell]

Main lines, in order of rising 2θ (2θ = 15–90°):
hkl 0 2 1, 29.08 deg, I 77
hkl 0 3 1, 34.10 deg, I 39
hkl 1 3 0, 34.77 deg, I 100
hkl 1 0 1, 35.45 deg, I 58
hkl 1 1 1, 36.35 deg, I 71
hkl 2 0 0, 51.99 deg, I 25
hkl 1 5 1, 54.17 deg, I 35
hkl 1 2 2, 59.35 deg, I 31

=====

Entry 6:
This entry pairs a crystal structure of Lu2ReC2 with its computed powder XRD pattern. Radiation: Cu Kα (weighted mean of Kα1 and Kα2). Structure: DFT lattice parameters and positions (PBE).

Cell and atoms:
Lattice parameters (Å, degrees): 6.483 4.989 9.677 90.00 90.00 90.00
Space group Pnma (No. 62)
Unique sites:
Lu 0.033 0.250 0.219 [4 per cell]
Lu 0.180 0.250 0.557 [4 per cell]
Re 0.220 0.250 0.869 [4 per cell]
C 0.047 0.750 0.241 [4 per cell]
C 0.172 0.750 0.556 [4 per cell]

Main lines, in order of rising 2θ (2θ = 15–90°):
hkl 2 1 0, 32.95 deg, I 32
hkl 0 1 3, 33.07 deg, I 75
hkl 2 0 2, 33.27 deg, I 26
hkl 2 1 1, 34.27 deg, I 84
hkl 0 2 0, 35.97 deg, I 100
hkl 2 0 3, 39.41 deg, I 16
hkl 2 2 2, 49.83 deg, I 16
hkl 0 3 3, 62.85 deg, I 18

=====

Entry 7:
This entry pairs a crystal structure of Lu5Re2C7 with its computed powder XRD pattern. Radiation: Cu Kα (weighted mean of Kα1 and Kα2). Structure: DFT lattice parameters and positions (PBE).

Cell and atoms:
Lattice parameters (Å, degrees): 7.945 14.231 3.344 90.00 90.00 90.00
Space group Cmmm (No. 65)
Unique sites:
Lu 0.000 0.000 0.000 [2 per cell]
Lu 0.207 0.371 0.500 [8 per cell]
Re 0.000 0.216 0.000 [4 per cell]
C 0.000 0.123 0.500 [4 per cell]
C 0.000 0.500 0.000 [2 per cell]
C 0.171 0.500 0.000 [4 per cell]
C 0.250 0.250 0.000 [4 per cell]

Main lines, in order of rising 2θ (2θ = 15–90°):
hkl 1 1 1, 29.66 deg, I 30
hkl 1 5 0, 33.44 deg, I 31
hkl 2 4 0, 33.82 deg, I 85
hkl 3 1 0, 34.45 deg, I 34
hkl 2 0 1, 35.08 deg, I 99
hkl 0 4 1, 36.89 deg, I 100
hkl 3 5 1, 54.73 deg, I 32
hkl 2 4 2, 66.08 deg, I 25

=====

Entry 8:
This entry pairs a crystal structure of LuRh3C with its computed powder XRD pattern. Radiation: Cu Kα (weighted mean of Kα1 and Kα2). Structure: DFT lattice parameters and positions (PBE).

Cell and atoms:
Lattice parameters (Å, degrees): 4.152 4.152 4.152 90.00 90.00 90.00
Space group Pm-3m (No. 221)
Unique sites:
Lu 0.000 0.000 0.000 [1 per cell]
Rh 0.000 0.500 0.500 [3 per cell]
C 0.500 0.500 0.500 [1 per cell]

Main lines, in order of rising 2θ (2θ = 15–90°):
hkl 1 0 0, 21.40 deg, I 4
hkl 1 1 0, 30.45 deg, I 7
hkl 1 1 1, 37.52 deg, I 100
hkl 2 0 0, 43.60 deg, I 53
hkl 2 1 1, 54.11 deg, I 3
hkl 2 2 0, 63.37 deg, I 34
hkl 3 1 1, 76.03 deg, I 38
hkl 2 2 2, 80.07 deg, I 12

=====

Entry 9:
This entry pairs a crystal structure of LuRu3C with its computed powder XRD pattern. Radiation: Cu Kα (weighted mean of Kα1 and Kα2). Structure: DFT lattice parameters and positions (PBE).

Cell and atoms:
Lattice parameters (Å, degrees): 4.131 4.131 4.131 90.00 90.00 90.00
Space group Pm-3m (No. 221)
Unique sites:
Lu 0.000 0.000 0.000 [1 per cell]
Ru 0.000 0.500 0.500 [3 per cell]
C 0.500 0.500 0.500 [1 per cell]

Main lines, in order of rising 2θ (2θ = 15–90°):
hkl 1 0 0, 21.51 deg, I 4
hkl 1 1 0, 30.60 deg, I 8
hkl 1 1 1, 37.72 deg, I 100
hkl 2 0 0, 43.83 deg, I 53
hkl 2 1 1, 54.40 deg, I 3
hkl 2 2 0, 63.72 deg, I 34
hkl 3 1 1, 76.47 deg, I 38
hkl 2 2 2, 80.55 deg, I 12

=====

Entry 10:
This entry pairs a crystal structure of Lu3SnC with its computed powder XRD pattern. Radiation: Cu Kα (weighted mean of Kα1 and Kα2). Structure: DFT lattice parameters and positions (PBE).

Cell and atoms:
Lattice parameters (Å, degrees): 4.757 4.757 4.757 90.00 90.00 90.00
Space group Pm-3m (No. 221)
Unique sites:
Lu 0.000 0.000 0.500 [3 per cell]
Sn 0.500 0.500 0.500 [1 per cell]
C 0.000 0.000 0.000 [1 per cell]

Main lines, in order of rising 2θ (2θ = 15–90°):
hkl 1 0 0, 18.65 deg, I 3
hkl 1 1 1, 32.60 deg, I 100
hkl 2 0 0, 37.83 deg, I 54
hkl 2 2 0, 54.57 deg, I 38
hkl 3 1 1, 65.03 deg, I 42
hkl 2 2 2, 68.31 deg, I 13
hkl 4 0 0, 80.82 deg, I 6
hkl 3 3 1, 89.89 deg, I 19

=====

Entry 11:
This entry pairs a crystal structure of Mg2C3 with its computed powder XRD pattern. Radiation: Cu Kα (weighted mean of Kα1 and Kα2). Structure: DFT lattice parameters and positions (PBE).

Cell and atoms:
Lattice parameters (Å, degrees): 5.291 6.448 3.742 90.00 90.00 90.00
Space group Pnnm (No. 58)
Unique sites:
Mg 0.108 0.209 0.000 [4 per cell]
C 0.000 0.500 0.500 [2 per cell]
C 0.207 0.382 0.500 [4 per cell]

Main lines, in order of rising 2θ (2θ = 15–90°):
hkl 0 1 1, 27.56 deg, I 100
hkl 0 2 0, 27.67 deg, I 27
hkl 1 0 1, 29.23 deg, I 25
hkl 2 1 0, 36.72 deg, I 81
hkl 1 2 1, 40.68 deg, I 78
hkl 0 0 2, 48.66 deg, I 35
hkl 3 1 1, 59.71 deg, I 39
hkl 2 1 2, 62.48 deg, I 30

=====

Entry 12:
This entry pairs a crystal structure of Mg7C with its computed powder XRD pattern. Radiation: Cu Kα (weighted mean of Kα1 and Kα2). Structure: DFT lattice parameters and positions (PBE).

Cell and atoms:
Lattice parameters (Å, degrees): 6.0913 6.0913 4.8913 90.00 90.00 120.00
Space group P-6m2 (No. 187)
Unique sites:
Mg 0.0000 0.0000 0.0000 [1 per cell]
Mg 0.1659 0.3318 0.5000 [3 per cell]
Mg 0.5062 0.0123 0.0000 [3 per cell]
C 0.6667 0.3333 0.5000 [1 per cell]

Main lines, in order of rising 2θ (2θ = 15–90°):
hkl 2 0 0, 33.99 deg, I 25
hkl 0 0 2, 36.75 deg, I 26
hkl 2 0 1, 38.79 deg, I 100
hkl 2 0 2, 50.92 deg, I 15
hkl 2 2 0, 60.83 deg, I 16
hkl 2 0 3, 67.54 deg, I 18
hkl 2 2 2, 73.22 deg, I 18
hkl 4 0 1, 74.52 deg, I 13

=====

Entry 13:
This entry pairs a crystal structure of MgC2 with its computed powder XRD pattern. Radiation: Cu Kα (weighted mean of Kα1 and Kα2). Structure: DFT lattice parameters and positions (PBE).

Cell and atoms:
Lattice parameters (Å, degrees): 3.951 3.951 4.987 90.00 90.00 90.00
Space group P4_2/mnm (No. 136)
Unique sites:
Mg 0.000 0.000 0.000 [2 per cell]
C 0.112 0.112 0.500 [4 per cell]

Main lines, in order of rising 2θ (2θ = 15–90°):
hkl 1 0 1, 28.83 deg, I 13
hkl 1 1 0, 32.04 deg, I 100
hkl 0 0 2, 36.02 deg, I 53
hkl 2 0 0, 45.94 deg, I 20
hkl 1 1 2, 48.96 deg, I 52
hkl 2 1 1, 55.15 deg, I 30
hkl 2 0 2, 59.72 deg, I 17
hkl 3 0 1, 74.52 deg, I 12